[1]
This entry pairs a crystal structure of Zr5CuPb3 with its theoretical powder XRD pattern. Radiation: Cu Kα (λ = 1.5418 Å). Structure: a cell relaxed with GGA-PBE.

The 10 most intense peaks (2θ = 10–90°), in order of rising 2θ:
- 25.2 deg, I 45, hkl 1 1 1
- 30.1 deg, I 28, hkl 0 0 2
- 34.6 deg, I 99, hkl 2 1 1
- 35.3 deg, I 86, hkl 3 0 0
- 36.5 deg, I 100, hkl 1 1 2
- 45.5 deg, I 40, hkl 3 1 1
- 51.7 deg, I 21, hkl 2 2 2
- 56.4 deg, I 24, hkl 2 1 3
- 66.8 deg, I 21, hkl 4 2 1
- 73.9 deg, I 20, hkl 3 0 4

Cell and atoms:
Cell lengths 8.803, 8.803, 5.943 Å; angles 90.00, 90.00, 120.00 degrees
Fractional coordinates of all 18 atoms:
Zr: 0.000 0.259 0.250
Zr: 0.000 0.741 0.750
Zr: 0.259 0.000 0.250
Zr: 0.259 0.259 0.750
Zr: 0.333 0.667 0.000
Zr: 0.333 0.667 0.500
Zr: 0.667 0.333 0.000
Zr: 0.667 0.333 0.500
Zr: 0.741 0.000 0.750
Zr: 0.741 0.741 0.250
Cu: 0.000 0.000 0.000
Cu: 0.000 0.000 0.500
Pb: 0.000 0.387 0.750
Pb: 0.000 0.613 0.250
Pb: 0.387 0.000 0.750
Pb: 0.387 0.387 0.250
Pb: 0.613 0.000 0.250
Pb: 0.613 0.613 0.750

=====

[2]
This entry pairs a crystal structure of Cu3Pd2 with its theoretical powder XRD pattern. Radiation: Cu Kα (λ = 1.5418 Å). Structure: a cell relaxed with GGA-PBE.

The 9 most intense peaks (2θ = 10–90°), in order of rising 2θ:
- 30.0 deg, I 5, hkl 0 0 5
- 35.1 deg, I 1, hkl 1 0 3
- 38.7 deg, I 1, hkl 1 0 4
- 42.9 deg, I 100, hkl 1 1 0
- 53.2 deg, I 1, hkl 1 1 5
- 62.3 deg, I 15, hkl 2 0 0
- 70.6 deg, I 2, hkl 1 0 10
- 72.5 deg, I 1, hkl 1 1 9
- 78.6 deg, I 30, hkl 2 1 5

Cell and atoms:
Cell lengths 2.980, 2.980, 14.921 Å; angles 90.00, 90.00, 90.00 degrees
Fractional coordinates of all 10 atoms:
Cu: 0.000 0.000 0.000
Cu: 0.000 0.000 0.202
Cu: 0.000 0.000 0.410
Cu: 0.000 0.000 0.590
Cu: 0.000 0.000 0.798
Cu: 0.500 0.500 0.500
Pd: 0.500 0.500 0.101
Pd: 0.500 0.500 0.306
Pd: 0.500 0.500 0.694
Pd: 0.500 0.500 0.899